# 1
Structure and theoretical XRD peak list of AcMgSc2Tl4 (a PBE-relaxed structure; λ = 1.5418 Å (Cu Kα)).
Kinematic intensities with the Lorentz-polarization factor, no thermal factor.

Cell and atoms:
Unit cell a=10.3615 b=10.3615 c=10.3615 alpha=28.17 beta=28.17 gamma=28.17
Fractional positions:
Ac 0.0000 0.0000 0.0000
Mg 0.5000 0.5000 0.5000
Sc 0.2321 0.2321 0.2321
Sc 0.7679 0.7679 0.7679
Tl 0.1269 0.1269 0.1269
Tl 0.3938 0.3938 0.3938
Tl 0.6062 0.6062 0.6062
Tl 0.8731 0.8731 0.8731

Principal peaks in the range 15° ≤ 2θ ≤ 90°, in order of rising 2θ:
Position (°2θ)	Rel. int.
23.61	39
25.27	26
29.28	26
31.55	93
35.61	100
36.48	20
48.30	29
59.17	22
61.43	28
63.95	18

# 2
Structure and theoretical XRD peak list of Ac2MgSi3 (a PBE-relaxed structure; λ = 1.5418 Å (Cu Kα)).
Kinematic intensities with the Lorentz-polarization factor, no thermal factor.

Cell and atoms:
Unit cell a=8.8120 b=8.6441 c=6.3674 alpha=70.02 beta=67.21 gamma=42.77
Fractional positions:
Ac 0.2424 0.7576 0.2424
Ac 0.2500 0.2500 0.2500
Ac 0.7500 0.7500 0.7500
Ac 0.7576 0.2424 0.7576
Mg 0.3349 0.3349 0.6651
Mg 0.6651 0.6651 0.3349
Si 0.1615 0.1615 0.8385
Si 0.1616 0.6776 0.8384
Si 0.3224 0.8384 0.6776
Si 0.6776 0.1616 0.3224
Si 0.8384 0.3224 0.1616
Si 0.8385 0.8385 0.1615

Principal peaks in the range 15° ≤ 2θ ≤ 90°, in order of rising 2θ:
Position (°2θ)	Rel. int.
19.04	22
23.74	55
30.61	100
38.62	11
41.80	18
45.84	20
46.31	10
52.59	15
58.21	13
64.96	12

# 3
Structure and theoretical XRD peak list of Ac3MgSi2 (a PBE-relaxed structure; λ = 1.5418 Å (Cu Kα)).
Kinematic intensities with the Lorentz-polarization factor, no thermal factor.

Cell and atoms:
Unit cell a=8.2196 b=8.2196 c=8.2196 alpha=61.71 beta=61.71 gamma=61.71
Fractional positions:
Ac 0.0319 0.7500 0.4681
Ac 0.2500 0.5319 0.9681
Ac 0.4681 0.0319 0.7500
Ac 0.5319 0.9681 0.2500
Ac 0.7500 0.4681 0.0319
Ac 0.9681 0.2500 0.5319
Mg 0.0000 0.0000 0.0000
Mg 0.5000 0.5000 0.5000
Si 0.1399 0.1399 0.1399
Si 0.3601 0.3601 0.3601
Si 0.6399 0.6399 0.6399
Si 0.8601 0.8601 0.8601

Principal peaks in the range 15° ≤ 2θ ≤ 90°, in order of rising 2θ:
Position (°2θ)	Rel. int.
21.07	11
25.04	100
26.92	19
32.76	18
34.44	20
36.93	21
39.77	11
45.14	9
46.29	13
46.43	20

# 4
Structure and theoretical XRD peak list of Ac2Sm3Mg2 (a PBE-relaxed structure; λ = 1.5418 Å (Cu Kα)).
Kinematic intensities with the Lorentz-polarization factor, no thermal factor.

Cell and atoms:
Unit cell a=3.8113 b=33.7880 c=3.7825 alpha=90.00 beta=90.00 gamma=90.00
Fractional positions:
Ac 0.0000 0.1991 0.0000
Ac 0.0000 0.8009 0.0000
Ac 0.5000 0.3009 0.0000
Ac 0.5000 0.6991 0.0000
Sm 0.0000 0.0709 0.0000
Sm 0.0000 0.5000 0.5000
Sm 0.0000 0.9291 0.0000
Sm 0.5000 0.0000 0.5000
Sm 0.5000 0.4291 0.0000
Sm 0.5000 0.5709 0.0000
Mg 0.0000 0.3701 0.5000
Mg 0.0000 0.6299 0.5000
Mg 0.5000 0.1299 0.5000
Mg 0.5000 0.8701 0.5000

Principal peaks in the range 15° ≤ 2θ ≤ 90°, in order of rising 2θ:
Position (°2θ)	Rel. int.
21.03	32
23.51	50
24.66	37
29.87	100
31.76	86
33.48	81
38.36	30
53.07	54
57.67	32
58.47	31